Calculated powder diffraction line list of Pm12In3Ag for Cu Kα, from DFT lattice parameters and positions (GGA-PBE).

Largest 12 diffraction maxima, low angle first, 10° ≤ 2θ ≤ 90°:
two_theta	I_rel	hkl
31.38	1000	1 1 4
36.29	339	2 0 0
36.58	164	0 0 8
52.26	119	2 2 0
52.48	231	2 0 8
62.24	278	3 1 4
62.63	133	1 1 12
65.48	118	2 2 8
85.53	58	3 3 4
85.88	112	3 1 12
88.27	55	4 2 0
88.45	54	4 0 8

Structure:
```
Pm12In3Ag
1.0
4.9509 0.0000 0.0000
0.0000 4.9509 0.0000
0.0000 0.0000 19.6498
Pm In Ag
12 3 1
Direct
0.0000 0.0000 0.0000
0.0000 0.0000 0.2457
0.0000 0.0000 0.5000
0.0000 0.0000 0.7543
0.0000 0.5000 0.1221
0.0000 0.5000 0.3734
0.0000 0.5000 0.6266
0.0000 0.5000 0.8779
0.5000 0.0000 0.1221
0.5000 0.0000 0.3734
0.5000 0.0000 0.6266
0.5000 0.0000 0.8779
0.5000 0.5000 0.2478
0.5000 0.5000 0.5000
0.5000 0.5000 0.7522
0.5000 0.5000 0.0000
```